For Ti3VO8, DFT lattice parameters and positions (PBE+U) gives the theoretical powder diffractogram in this record (CuKα).
No peak broadening, texture or thermal motion is included.

Cell and atoms:
Unit cell a=5.944 b=5.944 c=8.999 alpha=90.00 beta=90.00 gamma=120.00
Positions (direct):
1 Ti 0.168 0.335 0.000
2 Ti 0.168 0.832 0.000
3 Ti 0.335 0.168 0.500
4 Ti 0.665 0.832 0.000
5 Ti 0.832 0.168 0.500
6 Ti 0.832 0.665 0.500
7 V 0.333 0.667 0.277
8 V 0.667 0.333 0.777
9 O 0.000 0.000 0.102
10 O 0.000 0.000 0.602
11 O 0.050 0.525 0.130
12 O 0.173 0.346 0.394
13 O 0.173 0.827 0.394
14 O 0.333 0.667 0.888
15 O 0.346 0.173 0.894
16 O 0.475 0.525 0.130
17 O 0.475 0.950 0.130
18 O 0.525 0.050 0.630
19 O 0.525 0.475 0.630
20 O 0.654 0.827 0.394
21 O 0.667 0.333 0.388
22 O 0.827 0.173 0.894
23 O 0.827 0.654 0.894
24 O 0.950 0.475 0.630

Most intense lines, 2θ = 10–80°, most intense first:
2θ = 19.87°, rel. 100.0, (1 0 1); 2θ = 36.26°, rel. 73.3, (1 1 2); 2θ = 19.73°, rel. 51.0, (0 0 2); 2θ = 46.49°, rel. 50.4, (2 0 3); 2θ = 40.37°, rel. 42.4, (2 0 2); 2θ = 62.50°, rel. 34.8, (2 2 0); 2θ = 63.02°, rel. 33.6, (2 0 5); 2θ = 26.31°, rel. 32.5, (1 0 2); 2θ = 34.61°, rel. 20.2, (1 0 3); 2θ = 54.15°, rel. 17.8, (2 0 4)